Structure and computed powder X-ray diffraction pattern of BaZnCdBi2 (a DFT-relaxed cell (PBE, OQMD); Cu Kα, 1.54184 Å).
Peak positions follow from Bragg's law for the DFT cell and can differ from measured ones.

Cell and atoms:
Unit cell a=4.9029 b=4.9029 c=8.1798 alpha=90.00 beta=90.00 gamma=120.00
Element x y z (fractional)
1 Ba 0.0000 0.0000 0.0000
2 Zn 0.3333 0.6667 0.6357
3 Cd 0.6667 0.3333 0.3679
4 Bi 0.3333 0.6667 0.2696
5 Bi 0.6667 0.3333 0.7331

Most intense lines, 2θ = 10–90°, sorted by position:
- hkl 1 0 0, 20.9°, intensity 19.0
- hkl 0 1 1, 23.6°, intensity 100.0
- hkl 0 1 2, 30.3°, intensity 65.1
- hkl 1 1 0, 36.7°, intensity 85.0
- hkl 0 1 3, 39.3°, intensity 49.4
- hkl 1 1 2, 43.0°, intensity 18.2
- hkl 2 0 1, 44.1°, intensity 19.9
- hkl 1 1 3, 50.0°, intensity 23.2
- hkl 2 0 3, 54.8°, intensity 18.9
- hkl 1 2 3, 67.8°, intensity 20.2